Starting from DFT lattice parameters and positions (GGA-PBE), the powder X-ray diffraction pattern of Mg7Zn was calculated for Cu Kα (weighted mean of Kα1 and Kα2).
No peak broadening, texture or thermal motion is included.

Structure:
Unit cell a=6.2967 b=6.2967 c=5.0600 alpha=90.00 beta=90.00 gamma=120.00
Space group P-6m2 (No. 187)
Asymmetric unit:
Mg 0.0000 0.0000 0.0000 x1
Mg 0.0052 0.5026 0.0000 x3
Mg 0.3322 0.1661 0.5000 x3
Zn 0.3333 0.6667 0.5000 x1

Main lines, by angle (15 to 90 degrees two-theta):
2θ = 16.25°, intensity 178
2θ = 23.99°, intensity 129
2θ = 32.85°, intensity 262
2θ = 33.52°, intensity 59
2θ = 35.48°, intensity 257
2θ = 37.47°, intensity 1000
2θ = 47.64°, intensity 49
2θ = 49.13°, intensity 162
2θ = 58.65°, intensity 168
2θ = 65.02°, intensity 183
2θ = 70.45°, intensity 187
2θ = 71.70°, intensity 134

Starting from DFT lattice parameters and positions (GGA-PBE), the powder X-ray diffraction pattern of Mg2Zn was calculated for Cu Kα (weighted mean of Kα1 and Kα2).
No peak broadening, texture or thermal motion is included.

Structure:
Unit cell a=3.100 b=15.637 c=4.890 alpha=90.00 beta=90.00 gamma=90.00
Space group Cmcm (No. 63)
Asymmetric unit:
Mg 0.000 0.099 0.250 x4
Mg 0.000 0.216 0.750 x4
Zn 0.000 0.446 0.250 x4

Main lines, by angle (15 to 90 degrees two-theta):
2θ = 21.43°, intensity 196
2θ = 29.37°, intensity 153
2θ = 33.64°, intensity 230
2θ = 36.76°, intensity 380
2θ = 38.48°, intensity 1000
2θ = 39.17°, intensity 438
2θ = 45.16°, intensity 196
2θ = 50.67°, intensity 138
2θ = 61.15°, intensity 141
2θ = 67.34°, intensity 176
2θ = 72.13°, intensity 139
2θ = 73.52°, intensity 157

Starting from DFT lattice parameters and positions (GGA-PBE), the powder X-ray diffraction pattern of Mg2Zn was calculated for Cu Kα (weighted mean of Kα1 and Kα2).
No peak broadening, texture or thermal motion is included.

Structure:
Unit cell a=9.354 b=5.088 c=4.940 alpha=90.00 beta=90.00 gamma=90.00
Space group Cmcm (No. 63)
Asymmetric unit:
Mg 0.156 0.183 0.250 x8
Zn 0.000 0.336 0.750 x4

Main lines, by angle (15 to 90 degrees two-theta):
2θ = 18.97°, intensity 334
2θ = 19.86°, intensity 142
2θ = 26.90°, intensity 268
2θ = 33.71°, intensity 201
2θ = 35.28°, intensity 124
2θ = 36.37°, intensity 374
2θ = 38.45°, intensity 1000
2θ = 39.85°, intensity 392
2θ = 44.49°, intensity 130
2θ = 62.32°, intensity 136
2θ = 66.83°, intensity 176
2θ = 74.35°, intensity 156

Starting from DFT lattice parameters and positions (GGA-PBE), the powder X-ray diffraction pattern of Mg2Zn was calculated for Cu Kα (weighted mean of Kα1 and Kα2).
No peak broadening, texture or thermal motion is included.

Structure:
Unit cell a=3.0540 b=3.0540 c=15.0022 alpha=90.00 beta=90.00 gamma=120.00
Space group P-3m1 (No. 164)
Asymmetric unit:
Mg 0.3333 0.6667 0.0914 x2
Mg 0.3333 0.6667 0.7242 x2
Zn 0.3333 0.6667 0.4312 x2

Main lines, by angle (15 to 90 degrees two-theta):
2θ = 33.89°, intensity 262
2θ = 34.43°, intensity 109
2θ = 35.94°, intensity 274
2θ = 38.51°, intensity 1000
2θ = 41.79°, intensity 259
2θ = 42.16°, intensity 76
2θ = 45.73°, intensity 104
2θ = 50.21°, intensity 128
2θ = 60.64°, intensity 182
2θ = 66.28°, intensity 82
2θ = 72.54°, intensity 145
2θ = 74.17°, intensity 131

Starting from DFT lattice parameters and positions (GGA-PBE), the powder X-ray diffraction pattern of Mg14ZrZn was calculated for Cu Kα (weighted mean of Kα1 and Kα2).
No peak broadening, texture or thermal motion is included.

Structure:
Unit cell a=6.3862 b=6.3862 c=10.0790 alpha=90.00 beta=90.00 gamma=120.00
Space group P-6m2 (No. 187)
Asymmetric unit:
Mg 0.0000 0.0000 0.2469 x2
Mg 0.0099 0.5049 0.2529 x6
Mg 0.3316 0.1658 0.5000 x3
Mg 0.3404 0.1702 0.0000 x3
Zr 0.3333 0.6667 0.0000 x1
Zn 0.3333 0.6667 0.5000 x1

Main lines, by angle (15 to 90 degrees two-theta):
2θ = 16.03°, intensity 270
2θ = 23.89°, intensity 175
2θ = 32.38°, intensity 273
2θ = 33.22°, intensity 82
2θ = 35.63°, intensity 245
2θ = 37.08°, intensity 1000
2θ = 47.06°, intensity 74
2θ = 48.90°, intensity 165
2θ = 57.75°, intensity 171
2θ = 64.95°, intensity 179
2θ = 69.73°, intensity 187
2θ = 70.64°, intensity 137

Starting from DFT lattice parameters and positions (GGA-PBE), the powder X-ray diffraction pattern of Mg14ZrZn was calculated for Cu Kα (weighted mean of Kα1 and Kα2).
No peak broadening, texture or thermal motion is included.

Structure:
Unit cell a=10.109 b=6.245 c=11.181 alpha=90.00 beta=90.00 gamma=90.00
Space group Amm2 (No. 38)
Asymmetric unit:
Mg 0.000 0.000 0.000 x2
Mg 0.000 0.000 0.499 x2
Mg 0.000 0.248 0.250 x4
Mg 0.248 0.000 0.662 x4
Mg 0.256 0.249 0.417 x8
Mg 0.263 0.000 0.161 x4
Mg 0.500 0.243 0.755 x4
Zr 0.500 0.000 0.506 x2
Zn 0.500 0.000 0.991 x2

Main lines, by angle (15 to 90 degrees two-theta):
2θ = 15.85°, intensity 145
2θ = 18.13°, intensity 195
2θ = 32.02°, intensity 133
2θ = 32.85°, intensity 288
2θ = 35.52°, intensity 386
2θ = 36.74°, intensity 551
2θ = 37.48°, intensity 1000
2θ = 49.16°, intensity 178
2θ = 57.60°, intensity 178
2θ = 65.08°, intensity 179
2θ = 69.53°, intensity 202
2θ = 71.72°, intensity 142